Starting from a PBE-relaxed structure, the XRD peak list of Ca2As4Rh5 was calculated for Cu Kα (λ = 1.5418 Å).
Neutral-atom scattering factors, no anomalous dispersion.

Atomic structure:
Cell: 8.938 7.942 5.700 Å, 80.02 61.06 38.91°
Atoms (fractional coordinates):
Ca: 0.126 0.126 0.874
Ca: 0.874 0.874 0.126
As: 0.211 0.535 0.465
As: 0.465 0.789 0.211
As: 0.535 0.211 0.789
As: 0.789 0.465 0.535
Rh: 0.000 0.000 0.500
Rh: 0.250 0.250 0.250
Rh: 0.500 0.500 0.000
Rh: 0.500 0.500 0.500
Rh: 0.750 0.750 0.750

Most intense lines, 10 to 80 degrees two-theta, most intense first:
2θ (°), I/Imax
17.87, 100
44.43, 93
40.33, 91
36.37, 75
49.04, 66
19.15, 63
43.86, 57
36.85, 52
65.49, 46
44.02, 37
30.04, 28
61.32, 25


Starting from a PBE-relaxed structure, the XRD peak list of CaYAs2Rh2 was calculated for Cu Kα (λ = 1.5418 Å).
Neutral-atom scattering factors, no anomalous dispersion.

Atomic structure:
Cell: 4.194 4.194 8.161 Å, 90.00 90.00 120.00°
Atoms (fractional coordinates):
Ca: 0.000 0.000 0.000
Y: 0.000 0.000 0.500
As: 0.333 0.667 0.255
As: 0.667 0.333 0.745
Rh: 0.333 0.667 0.738
Rh: 0.667 0.333 0.262

Most intense lines, 10 to 80 degrees two-theta, most intense first:
2θ (°), I/Imax
33.02, 100
43.14, 59
63.63, 34
21.78, 26
55.37, 22
72.67, 19
48.83, 18
44.40, 17
10.84, 11
79.10, 9
74.49, 8
26.87, 7


Starting from a PBE-relaxed structure, the XRD peak list of Ca4Sb2As was calculated for Cu Kα (λ = 1.5418 Å).
Neutral-atom scattering factors, no anomalous dispersion.

Atomic structure:
Cell: 9.006 9.006 9.006 Å, 145.34 145.34 49.83°
Atoms (fractional coordinates):
Ca: 0.000 0.500 0.500
Ca: 0.176 0.176 0.000
Ca: 0.500 0.000 0.500
Ca: 0.824 0.824 0.000
Sb: 0.367 0.367 0.000
Sb: 0.633 0.633 0.000
As: 0.000 0.000 0.000

Most intense lines, 10 to 80 degrees two-theta, most intense first:
2θ (°), I/Imax
23.45, 100
33.40, 94
23.27, 69
32.20, 63
32.08, 61
46.98, 41
47.96, 33
41.11, 32
58.92, 31
54.02, 27
47.59, 27
10.83, 23


Starting from a PBE-relaxed structure, the XRD peak list of CaSb2As was calculated for Cu Kα (λ = 1.5418 Å).
Neutral-atom scattering factors, no anomalous dispersion.

Atomic structure:
Cell: 6.107 6.107 5.345 Å, 113.53 113.53 37.77°
Atoms (fractional coordinates):
Ca: 0.000 0.000 0.000
Sb: 0.547 0.547 0.543
Sb: 0.817 0.817 0.345
As: 0.253 0.253 0.931

Most intense lines, 10 to 80 degrees two-theta, most intense first:
2θ (°), I/Imax
32.57, 100
33.37, 66
34.25, 60
18.99, 52
33.57, 25
45.91, 22
42.05, 19
31.22, 16
66.85, 16
41.40, 13
58.50, 12
60.42, 12


Starting from a PBE-relaxed structure, the XRD peak list of CaYAsSe was calculated for Cu Kα (λ = 1.5418 Å).
Neutral-atom scattering factors, no anomalous dispersion.

Atomic structure:
Cell: 7.291 7.291 7.291 Å, 33.27 33.27 33.27°
Atoms (fractional coordinates):
Ca: 0.000 0.000 0.000
Y: 0.492 0.492 0.492
As: 0.751 0.751 0.751
Se: 0.244 0.244 0.244

Most intense lines, 10 to 80 degrees two-theta, most intense first:
2θ (°), I/Imax
30.18, 100
43.35, 36
43.07, 36
53.73, 19
71.42, 16
71.00, 15
79.35, 11
62.76, 11
12.86, 10
53.25, 6
79.55, 6
78.75, 5


Starting from a PBE-relaxed structure, the XRD peak list of Ca2SiAs2 was calculated for Cu Kα (λ = 1.5418 Å).
Neutral-atom scattering factors, no anomalous dispersion.

Atomic structure:
Cell: 7.258 7.258 4.311 Å, 90.00 90.00 90.00°
Atoms (fractional coordinates):
Ca: 0.176 0.324 0.000
Ca: 0.324 0.824 0.000
Ca: 0.676 0.176 0.000
Ca: 0.824 0.676 0.000
Si: 0.000 0.000 0.500
Si: 0.500 0.500 0.500
As: 0.130 0.630 0.500
As: 0.370 0.130 0.500
As: 0.630 0.870 0.500
As: 0.870 0.370 0.500

Most intense lines, 10 to 80 degrees two-theta, most intense first:
2θ (°), I/Imax
34.59, 100
39.25, 25
41.91, 17
17.28, 17
20.60, 15
58.77, 15
71.85, 11
32.24, 10
73.64, 10
45.04, 10
50.01, 9
44.73, 9


Starting from a PBE-relaxed structure, the XRD peak list of CaSiAs2 was calculated for Cu Kα (λ = 1.5418 Å).
Neutral-atom scattering factors, no anomalous dispersion.

Atomic structure:
Cell: 6.167 6.123 11.515 Å, 90.00 118.08 90.00°
Atoms (fractional coordinates):
Ca: 0.100 0.230 0.123
Ca: 0.100 0.770 0.623
Ca: 0.900 0.230 0.377
Ca: 0.900 0.770 0.877
Si: 0.495 0.375 0.879
Si: 0.495 0.625 0.379
Si: 0.505 0.375 0.621
Si: 0.505 0.625 0.121
As: 0.166 0.284 0.665
As: 0.166 0.716 0.165
As: 0.446 0.239 0.414
As: 0.446 0.761 0.914
As: 0.554 0.239 0.086
As: 0.554 0.761 0.586
As: 0.834 0.284 0.835
As: 0.834 0.716 0.335

Most intense lines, 10 to 80 degrees two-theta, most intense first:
2θ (°), I/Imax
29.17, 100
29.04, 77
41.65, 67
27.72, 32
30.16, 31
35.34, 29
26.31, 25
48.09, 16
46.46, 16
43.11, 16
57.27, 16
40.92, 14


Starting from a PBE-relaxed structure, the XRD peak list of Ca3SiAs3 was calculated for Cu Kα (λ = 1.5418 Å).
Neutral-atom scattering factors, no anomalous dispersion.

Atomic structure:
Cell: 9.787 9.787 12.186 Å, 90.00 90.00 37.17°
Atoms (fractional coordinates):
Ca: 0.008 0.639 0.132
Ca: 0.139 0.508 0.632
Ca: 0.187 0.813 0.856
Ca: 0.313 0.687 0.356
Ca: 0.361 0.992 0.132
Ca: 0.492 0.861 0.632
Ca: 0.508 0.139 0.368
Ca: 0.639 0.008 0.868
Ca: 0.687 0.313 0.644
Ca: 0.813 0.187 0.144
Ca: 0.861 0.492 0.368
Ca: 0.992 0.361 0.868
Si: 0.088 0.088 0.500
Si: 0.412 0.412 0.000
Si: 0.588 0.588 0.000
Si: 0.912 0.912 0.500
As: 0.046 0.630 0.379
As: 0.130 0.546 0.879
As: 0.213 0.787 0.612
As: 0.287 0.713 0.112
As: 0.370 0.954 0.379
As: 0.454 0.870 0.879
As: 0.546 0.130 0.121
As: 0.630 0.046 0.621
As: 0.713 0.287 0.888
As: 0.787 0.213 0.388
As: 0.870 0.454 0.121
As: 0.954 0.370 0.621

Most intense lines, 10 to 80 degrees two-theta, most intense first:
2θ (°), I/Imax
28.88, 100
29.32, 91
41.62, 90
41.42, 75
41.10, 68
28.62, 65
24.99, 61
51.28, 44
31.13, 29
75.37, 18
35.45, 17
16.66, 17


Starting from a PBE-relaxed structure, the XRD peak list of Ca11Si9As16 was calculated for Cu Kα (λ = 1.5418 Å).
Neutral-atom scattering factors, no anomalous dispersion.

Atomic structure:
Cell: 7.158 7.308 17.695 Å, 89.73 89.76 68.52°
Atoms (fractional coordinates):
Ca: 0.000 0.000 0.000
Ca: 0.001 0.034 0.748
Ca: 0.478 0.509 0.505
Ca: 0.480 0.476 0.246
Ca: 0.487 0.524 0.001
Ca: 0.495 0.994 0.122
Ca: 0.503 0.998 0.625
Ca: 0.978 0.474 0.379
Ca: 0.980 0.513 0.121
Ca: 0.987 0.516 0.626
Ca: 0.992 0.992 0.503
Si: 0.021 0.044 0.192
Si: 0.065 0.580 0.823
Si: 0.412 0.941 0.322
Si: 0.462 0.466 0.695
Si: 0.494 0.098 0.883
Si: 0.520 0.043 0.434
Si: 0.564 0.583 0.804
Si: 0.912 0.940 0.303
Si: 0.949 0.478 0.933
As: 0.214 0.220 0.249
As: 0.221 0.750 0.366
As: 0.234 0.757 0.130
As: 0.240 0.247 0.503
As: 0.246 0.752 0.632
As: 0.248 0.258 0.992
As: 0.257 0.772 0.867
As: 0.279 0.286 0.761
As: 0.713 0.220 0.376
As: 0.722 0.750 0.259
As: 0.733 0.754 0.495
As: 0.739 0.764 0.994
As: 0.741 0.262 0.625
As: 0.745 0.251 0.122
As: 0.756 0.291 0.874
As: 0.757 0.767 0.760

Most intense lines, 10 to 80 degrees two-theta, most intense first:
2θ (°), I/Imax
29.85, 100
44.51, 14
43.19, 11
40.80, 11
43.03, 11
42.46, 10
42.29, 10
25.11, 8
24.98, 8
51.53, 8
30.33, 6
61.96, 6


Starting from a PBE-relaxed structure, the XRD peak list of Sr2CaAs2 was calculated for Cu Kα (λ = 1.5418 Å).
Neutral-atom scattering factors, no anomalous dispersion.

Atomic structure:
Cell: 8.026 8.026 8.026 Å, 120.67 80.95 130.33°
Atoms (fractional coordinates):
Sr: 0.146 0.140 0.286
Sr: 0.354 0.640 0.993
Sr: 0.646 0.360 0.007
Sr: 0.854 0.860 0.714
Ca: 0.250 0.750 0.500
Ca: 0.750 0.250 0.500
As: 0.110 0.749 0.859
As: 0.390 0.249 0.639
As: 0.610 0.751 0.361
As: 0.890 0.251 0.141

Most intense lines, 10 to 80 degrees two-theta, most intense first:
2θ (°), I/Imax
26.44, 100
39.84, 91
39.42, 91
27.06, 88
24.57, 63
34.91, 61
29.26, 59
34.18, 49
37.14, 45
29.70, 43
61.88, 42
22.38, 38


Starting from a PBE-relaxed structure, the XRD peak list of Sr4CaAs was calculated for Cu Kα (λ = 1.5418 Å).
Neutral-atom scattering factors, no anomalous dispersion.

Atomic structure:
Cell: 7.270 7.270 7.270 Å, 60.00 60.00 60.00°
Atoms (fractional coordinates):
Sr: 0.124 0.124 0.124
Sr: 0.124 0.124 0.627
Sr: 0.124 0.627 0.124
Sr: 0.627 0.124 0.124
Ca: 0.500 0.500 0.500
As: 0.750 0.750 0.750

Most intense lines, 10 to 80 degrees two-theta, most intense first:
2θ (°), I/Imax
28.80, 100
30.11, 54
45.86, 36
50.20, 34
59.66, 23
70.34, 22
14.93, 20
24.49, 16
58.91, 13
34.91, 12
43.11, 7
38.16, 6


Starting from a PBE-relaxed structure, the XRD peak list of CaTa3As was calculated for Cu Kα (λ = 1.5418 Å).
Neutral-atom scattering factors, no anomalous dispersion.

Atomic structure:
Cell: 4.865 4.865 4.865 Å, 90.00 90.00 90.00°
Atoms (fractional coordinates):
Ca: 0.000 0.000 0.000
Ta: 0.000 0.500 0.500
Ta: 0.500 0.000 0.500
Ta: 0.500 0.500 0.000
As: 0.500 0.500 0.500

Most intense lines, 10 to 80 degrees two-theta, most intense first:
2θ (°), I/Imax
31.86, 100
36.96, 87
53.26, 61
18.24, 53
63.42, 42
41.51, 27
66.59, 21
56.77, 14
78.68, 10
69.69, 6
25.90, 3
45.68, 2


Starting from a PBE-relaxed structure, the XRD peak list of CaTcAs2 was calculated for Cu Kα (λ = 1.5418 Å).
Neutral-atom scattering factors, no anomalous dispersion.

Atomic structure:
Cell: 7.405 7.405 7.405 Å, 154.63 152.69 37.62°
Atoms (fractional coordinates):
Ca: 0.000 0.000 0.000
Tc: 0.243 0.743 0.500
As: 0.377 0.377 0.000
As: 0.667 0.167 0.500

Most intense lines, 10 to 80 degrees two-theta, most intense first:
2θ (°), I/Imax
39.99, 100
12.63, 66
31.97, 44
42.57, 44
33.57, 36
26.27, 27
52.67, 22
69.66, 20
46.08, 19
52.33, 17
41.27, 16
66.52, 14